Co2SiO4: computed XRD peak list (Cu Kα (λ = 1.5418 Å)), based on DFT lattice parameters and positions (PBE+U).

Most intense lines, 5° ≤ 2θ ≤ 70°, low angle first:
| d (Å) | I_rel |
| --- | --- |
| 3.548 | 248 |
| 2.756 | 400 |
| 2.638 | 1000 |
| 2.532 | 727 |
| 2.185 | 238 |
| 1.712 | 404 |
| 1.602 | 251 |
| 1.544 | 240 |
| 1.482 | 155 |
| 1.363 | 142 |

Atomic structure:
```
Co2SiO4
1.0
0.0000 4.6354 5.5120
2.8509 0.0000 5.5120
2.8509 4.6354 0.0000
Co Si O
4 2 8
Direct
0.0604 0.6896 0.0604
0.3104 0.9396 0.3104
0.6896 0.0604 0.6896
0.9396 0.3104 0.9396
0.3750 0.3750 0.3750
0.6250 0.6250 0.6250
0.1788 0.7274 0.3446
0.2492 0.3446 0.7274
0.2726 0.8212 0.7508
0.3446 0.2492 0.1788
0.6554 0.7508 0.8212
0.7274 0.1788 0.2492
0.7508 0.6554 0.2726
0.8212 0.2726 0.6554
```